Calculated powder diffractogram
Compound: Dy2HoAgC
Radiation: Cu Kα, 1.54184 Å
Structure: a structure optimized by DFT (GGA-PBE)
Intensities are scaled so that the largest is 100.

Unit cell a=4.909 b=4.909 c=4.841 alpha=90.00 beta=90.00 gamma=90.00
Element x y z (fractional)
Dy 0.000 0.500 0.000
Dy 0.500 0.000 0.000
Ho 0.000 0.000 0.500
Ag 0.500 0.500 0.500
C 0.000 0.000 0.000

Peak list (10 most intense, 2θ = 10–80°, in order of falling intensity)
- (1 1 1), 2.821 Å, 2θ 31.72, intensity 100
- (2 0 0), 2.454 Å, 2θ 36.61, intensity 37
- (3 1 1), 1.478 Å, 2θ 62.87, intensity 28
- (2 0 2), 1.723 Å, 2θ 53.15, intensity 25
- (0 0 2), 2.420 Å, 2θ 37.15, intensity 18
- (1 1 3), 1.463 Å, 2θ 63.59, intensity 14
- (2 2 0), 1.735 Å, 2θ 52.75, intensity 13
- (2 2 2), 1.410 Å, 2θ 66.27, intensity 13
- (4 0 0), 1.227 Å, 2θ 77.84, intensity 4
- (1 0 0), 4.909 Å, 2θ 18.07, intensity 2